The following is a computed PXRD pattern of Fe9O13. It was derived from the GGA+U geometry in Alexandria, using CuKα.
No peak broadening, texture or thermal motion is included.

The 8 most intense peaks (2θ from 10° to 90°), low angle first:
hkl 0 0 2, 2θ 10.2, rel. 100
hkl 2 0 -2, 2θ 20.0, rel. 20
hkl 2 0 -6, 2θ 33.9, rel. 45
hkl 2 0 5, 2θ 34.1, rel. 28
hkl 4 0 -1, 2θ 37.5, rel. 15
hkl 3 1 1, 2θ 42.8, rel. 16
hkl 3 1 -3, 2θ 43.4, rel. 17
hkl 3 1 -4, 2θ 45.2, rel. 17

Structural model:
abc: 9.5826 2.9404 17.5351
angles: 90.00 98.23 90.00
Space group C2/m (No. 12)
One atom of each set of equivalent atoms:
Fe: 0.0000 0.0000 0.0000 (multiplicity 2)
Fe: 0.0234 0.5000 0.1752 (multiplicity 4)
Fe: 0.0628 0.5000 0.3676 (multiplicity 4)
Fe: 0.1433 0.0000 0.5379 (multiplicity 4)
Fe: 0.2420 0.0000 0.9235 (multiplicity 4)
O: 0.0000 0.5000 0.5000 (multiplicity 2)
O: 0.0692 0.0000 0.6299 (multiplicity 4)
O: 0.1123 0.0000 0.8330 (multiplicity 4)
O: 0.1122 0.5000 0.2726 (multiplicity 4)
O: 0.1322 0.0000 0.1056 (multiplicity 4)
O: 0.1394 0.5000 0.9712 (multiplicity 4)
O: 0.2129 0.0000 0.4361 (multiplicity 4)